Record 1
The following is a computed X-ray diffraction stick pattern of La7Pm12Mg. It was derived from a structure optimized by DFT (PBE), using Cu Kα.

Principal peaks in the range 2θ = 10–90°, by angle:
| Position (°2θ) | d [Å] | I (rel.) | index |
| --- | --- | --- | --- |
| 15.29 | 5.797 | 35 | 2 0 0 |
| 21.68 | 4.099 | 10 | 2 2 0 |
| 26.64 | 3.347 | 70 | 2 2 2 |
| 30.85 | 2.898 | 100 | 4 0 0 |
| 34.60 | 2.592 | 19 | 4 2 0 |
| 44.19 | 2.049 | 74 | 4 4 0 |
| 52.35 | 1.748 | 32 | 6 2 2 |
| 54.87 | 1.673 | 26 | 4 4 4 |
| 64.28 | 1.449 | 12 | 8 0 0 |
| 70.86 | 1.330 | 13 | 6 6 2 |
| 72.99 | 1.296 | 33 | 8 4 0 |
| 81.32 | 1.183 | 24 | 8 4 4 |

Structure:
```
data_La7Pm12Mg
_chemical_formula_sum 'La14 Pm24 Mg2'
_symmetry_space_group_name_H-M 'I m -3 m'
_symmetry_Int_Tables_number 229
_symmetry_space_group_name_Hall '-I 4 2 3'
_cell_length_a 11.5931
_cell_length_b 11.5931
_cell_length_c 11.5931
_cell_angle_alpha 90.00
_cell_angle_beta 90.00
_cell_angle_gamma 90.00
loop_
_atom_site_label
_atom_site_fract_x
_atom_site_fract_y
_atom_site_fract_z
La1 0.0000 0.0000 0.5000
La2 0.2500 0.2500 0.2500
Pm1 0.0000 0.2456 0.2456
Mg1 0.0000 0.0000 0.0000
```

---

Record 2
The following is a computed X-ray diffraction stick pattern of Pm2ScZn12Ni3. It was derived from a structure optimized by DFT (PBE), using Cu Kα.

Principal peaks in the range 2θ = 10–90°, by angle:
| Position (°2θ) | d [Å] | I (rel.) | index |
| --- | --- | --- | --- |
| 21.64 | 4.106 | 34 | 1 0 4 |
| 27.38 | 3.257 | 100 | 0 2 1 |
| 32.81 | 2.730 | 65 | 1 0 7 |
| 34.59 | 2.593 | 60 | 2 0 5 |
| 37.07 | 2.425 | 67 | 1 2 2 |
| 42.16 | 2.143 | 49 | 1 2 5 |
| 43.14 | 2.097 | 73 | 0 3 3 |
| 44.11 | 2.053 | 30 | 2 0 8 |
| 47.78 | 1.904 | 36 | 2 2 0 |
| 50.50 | 1.807 | 26 | 1 2 8 |
| 51.62 | 1.771 | 30 | 0 2 10 |
| 54.74 | 1.677 | 31 | 3 1 5 |

Structure:
```
data_Pm2ScZn12Ni3
_chemical_formula_sum 'Pm6 Sc3 Zn36 Ni9'
_symmetry_space_group_name_H-M 'R -3 m'
_symmetry_Int_Tables_number 166
_symmetry_space_group_name_Hall '-R 3 2"'
_cell_length_a 7.6147
_cell_length_b 7.6147
_cell_length_c 20.9906
_cell_angle_alpha 90.00
_cell_angle_beta 90.00
_cell_angle_gamma 120.00
loop_
_atom_site_label
_atom_site_fract_x
_atom_site_fract_y
_atom_site_fract_z
Pm1 0.0000 0.0000 0.0928
Sc1 0.0000 0.0000 0.5000
Zn1 0.0879 0.5440 0.2762
Zn2 0.0957 0.5478 0.8853
Ni1 0.0000 0.5000 0.0000
```

---

Record 3
The following is a computed X-ray diffraction stick pattern of CaMg2Br. It was derived from a structure optimized by DFT (PBE), using Cu Kα.

Principal peaks in the range 2θ = 10–90°, by angle:
| Position (°2θ) | d [Å] | I (rel.) | index |
| --- | --- | --- | --- |
| 19.00 | 4.672 | 38 | 0 0 2 |
| 26.21 | 3.400 | 29 | 1 0 1 |
| 31.10 | 2.876 | 100 | 1 0 2 |
| 34.76 | 2.581 | 59 | 1 1 0 |
| 36.11 | 2.488 | 16 | 1 1 1 |
| 37.98 | 2.369 | 45 | 1 0 3 |
| 39.91 | 2.259 | 22 | 1 1 2 |
| 46.14 | 1.967 | 22 | 1 0 4 |
| 49.98 | 1.825 | 20 | 2 0 0 |
| 60.04 | 1.541 | 28 | 2 1 2 |
| 61.24 | 1.514 | 16 | 1 1 5 |
| 64.45 | 1.446 | 18 | 2 1 3 |

Structure:
```
data_CaMg2Br
_chemical_formula_sum 'Ca1 Mg2 Br1'
_symmetry_space_group_name_H-M 'P 4 m m'
_symmetry_Int_Tables_number 99
_cell_length_a 3.6497
_cell_length_b 3.6497
_cell_length_c 9.3434
_cell_angle_alpha 90.00
_cell_angle_beta 90.00
_cell_angle_gamma 90.00
loop_
_symmetry_equiv_pos_as_xyz
'x,y,z'
'-y,x,z'
'-x,-y,z'
'y,-x,z'
'-x,y,z'
'y,x,z'
'x,-y,z'
'-y,-x,z'
loop_
_atom_site_label
_atom_site_fract_x
_atom_site_fract_y
_atom_site_fract_z
Ca1 0.0000 0.0000 0.0000
Mg1 0.0000 0.0000 0.4330
Mg2 0.5000 0.5000 0.2568
Br1 0.5000 0.5000 0.8315
```

---

Record 4
The following is a computed X-ray diffraction stick pattern of RbLa2Pd. It was derived from a structure optimized by DFT (PBE), using Cu Kα.

Principal peaks in the range 2θ = 10–90°, by angle:
| Position (°2θ) | d [Å] | I (rel.) | index |
| --- | --- | --- | --- |
| 15.31 | 5.789 | 34 | 1 0 1 |
| 24.85 | 3.584 | 51 | 2 1 1 |
| 27.54 | 3.238 | 100 | 1 1 2 |
| 27.65 | 3.227 | 54 | 2 2 0 |
| 30.96 | 2.888 | 18 | 3 1 0 |
| 37.51 | 2.398 | 36 | 3 2 1 |
| 39.44 | 2.285 | 53 | 4 0 0 |
| 42.45 | 2.129 | 15 | 2 1 3 |
| 42.59 | 2.123 | 13 | 4 1 1 |
| 44.39 | 2.041 | 14 | 4 2 0 |
| 51.00 | 1.791 | 20 | 5 1 0 |
| 52.86 | 1.732 | 27 | 2 0 4 |

Structure:
```
data_RbLa2Pd
_chemical_formula_sum 'Rb4 La8 Pd4'
_symmetry_space_group_name_H-M 'I -4 2 d'
_symmetry_Int_Tables_number 122
_symmetry_space_group_name_Hall 'I -4 2bw'
_cell_length_a 9.1260
_cell_length_b 9.1260
_cell_length_c 7.4877
_cell_angle_alpha 90.00
_cell_angle_beta 90.00
_cell_angle_gamma 90.00
loop_
_atom_site_label
_atom_site_fract_x
_atom_site_fract_y
_atom_site_fract_z
Rb1 0.0000 0.0000 0.0000
La1 0.1619 0.2500 0.6250
Pd1 0.0000 0.0000 0.5000
```

---

Record 5
The following is a computed X-ray diffraction stick pattern of CaLa6Nd8. It was derived from a structure optimized by DFT (PBE), using Cu Kα.

Principal peaks in the range 2θ = 10–90°, by angle:
| Position (°2θ) | d [Å] | I (rel.) | index |
| --- | --- | --- | --- |
| 28.54 | 3.127 | 30 | 0 0 6 |
| 28.80 | 3.099 | 100 | 1 2 2 |
| 30.88 | 2.896 | 13 | 3 0 0 |
| 33.30 | 2.690 | 64 | 3 -1 4 |
| 33.77 | 2.654 | 15 | 1 1 6 |
| 46.58 | 1.950 | 7 | 2 3 2 |
| 47.65 | 1.909 | 18 | 1 2 8 |
| 47.99 | 1.896 | 17 | 4 1 0 |
| 56.78 | 1.621 | 12 | 5 -4 6 |
| 56.95 | 1.617 | 14 | 6 -2 2 |
| 59.66 | 1.550 | 9 | 2 4 4 |
| 62.76 | 1.481 | 8 | 4 -3 10 |

Structure:
```
data_CaLa6Nd8
_chemical_formula_sum 'Ca3 La18 Nd24'
_symmetry_space_group_name_H-M 'R -3'
_symmetry_Int_Tables_number 148
_symmetry_space_group_name_Hall '-R 3'
_cell_length_a 10.0323
_cell_length_b 10.0323
_cell_length_c 18.7644
_cell_angle_alpha 90.00
_cell_angle_beta 90.00
_cell_angle_gamma 120.00
loop_
_atom_site_label
_atom_site_fract_x
_atom_site_fract_y
_atom_site_fract_z
Ca1 0.0000 0.0000 0.0000
La1 0.0211 0.7823 0.4050
Nd1 0.0000 0.0000 0.2274
Nd2 0.0444 0.7601 0.9010
```

---

Record 6
The following is a computed X-ray diffraction stick pattern of GaNi3Sn5. It was derived from a structure optimized by DFT (PBE), using Cu Kα.

Principal peaks in the range 2θ = 10–90°, by angle:
| Position (°2θ) | d [Å] | I (rel.) | index |
| --- | --- | --- | --- |
| 20.71 | 4.289 | 25 | 2 0 -2 |
| 29.25 | 3.054 | 45 | 2 2 -2 |
| 32.60 | 2.747 | 19 | 1 3 -1 |
| 32.99 | 2.716 | 100 | 2 2 1 |
| 33.17 | 2.701 | 79 | 0 0 3 |
| 41.53 | 2.174 | 29 | 0 4 0 |
| 41.92 | 2.155 | 25 | 1 3 2 |
| 42.15 | 2.144 | 37 | 4 0 -4 |
| 52.06 | 1.757 | 43 | 5 3 -2 |
| 52.66 | 1.738 | 20 | 4 0 2 |
| 54.15 | 1.694 | 24 | 0 4 3 |
| 54.53 | 1.683 | 26 | 2 2 -5 |

Structure:
```
data_GaNi3Sn5
_chemical_formula_sum 'Ga4 Ni12 Sn20'
_symmetry_space_group_name_H-M 'C 1 2/m 1'
_symmetry_Int_Tables_number 12
_cell_length_a 11.0341
_cell_length_b 8.6974
_cell_length_c 9.2603
_cell_angle_alpha 90.00
_cell_angle_beta 118.89
_cell_angle_gamma 90.00
loop_
_symmetry_equiv_pos_as_xyz
'x,y,z'
'-x,-y,-z'
'-x,y,-z'
'x,-y,z'
'x+1/2,y+1/2,z'
'-x+1/2,-y+1/2,-z'
'-x+1/2,y+1/2,-z'
'x+1/2,-y+1/2,z'
loop_
_atom_site_label
_atom_site_fract_x
_atom_site_fract_y
_atom_site_fract_z
Ga1 0.0856 0.0000 0.3030
Ni1 0.0000 0.0000 0.0000
Ni2 0.0000 0.0000 0.5000
Ni3 0.1668 0.5000 0.1741
Ni4 0.1863 0.5000 0.6790
Sn1 0.0000 0.2876 0.0000
Sn2 0.0641 0.5000 0.3632
Sn3 0.1679 0.2142 0.6561
Sn4 0.2333 0.0000 0.0154
```

---

Record 7
The following is a computed X-ray diffraction stick pattern of CrFe4H4. It was derived from a structure optimized by DFT (PBE), using Cu Kα.

Principal peaks in the range 2θ = 10–90°, by angle:
| Position (°2θ) | d [Å] | I (rel.) | index |
| --- | --- | --- | --- |
| 36.33 | 2.473 | 42 | 1 3 0 |
| 37.84 | 2.377 | 17 | 2 2 1 |
| 38.03 | 2.366 | 35 | 3 1 0 |
| 39.77 | 2.267 | 35 | 1 1 2 |
| 42.27 | 2.138 | 85 | 3 1 1 |
| 42.90 | 2.108 | 100 | 0 2 2 |
| 46.16 | 1.967 | 24 | 0 4 0 |
| 49.71 | 1.834 | 16 | 2 2 2 |
| 52.64 | 1.739 | 15 | 2 4 0 |
| 53.34 | 1.717 | 18 | 3 1 2 |
| 54.10 | 1.695 | 18 | 3 3 1 |
| 68.98 | 1.361 | 17 | 3 1 3 |

Structure:
```
data_CrFe4H4
_chemical_formula_sum 'Cr4 Fe16 H16'
_symmetry_space_group_name_H-M 'C m c m'
_symmetry_Int_Tables_number 63
_symmetry_space_group_name_Hall '-C 2c 2'
_cell_length_a 7.4433
_cell_length_b 7.8662
_cell_length_c 4.9937
_cell_angle_alpha 90.00
_cell_angle_beta 90.00
_cell_angle_gamma 90.00
loop_
_atom_site_label
_atom_site_fract_x
_atom_site_fract_y
_atom_site_fract_z
Cr1 0.0000 0.1670 0.2500
Fe1 0.1665 0.2303 0.7500
Fe2 0.1673 0.5000 0.0000
H1 0.0000 0.3221 0.5265
H2 0.1644 0.0109 0.7500
```

---

Record 8
The following is a computed X-ray diffraction stick pattern of Li2Tb3Hg4. It was derived from a structure optimized by DFT (PBE), using Cu Kα.

Principal peaks in the range 2θ = 10–90°, by angle:
| Position (°2θ) | d [Å] | I (rel.) | index |
| --- | --- | --- | --- |
| 22.98 | 3.871 | 14 | 1 1 1 |
| 29.49 | 3.029 | 50 | 1 1 2 |
| 33.01 | 2.713 | 45 | 2 0 -3 |
| 34.46 | 2.603 | 100 | 3 1 -1 |
| 34.70 | 2.585 | 47 | 0 2 0 |
| 37.79 | 2.381 | 45 | 1 1 3 |
| 48.38 | 1.881 | 17 | 4 0 2 |
| 48.65 | 1.872 | 31 | 2 2 -3 |
| 59.03 | 1.565 | 14 | 2 0 5 |
| 60.91 | 1.521 | 17 | 4 2 2 |
| 62.04 | 1.496 | 19 | 3 3 -1 |
| 64.27 | 1.449 | 18 | 1 3 3 |

Structure:
```
data_Li2Tb3Hg4
_chemical_formula_sum 'Li4 Tb6 Hg8'
_symmetry_space_group_name_H-M 'C 1 2/m 1'
_symmetry_Int_Tables_number 12
_cell_length_a 9.1687
_cell_length_b 5.1702
_cell_length_c 9.0556
_cell_angle_alpha 90.00
_cell_angle_beta 100.30
_cell_angle_gamma 90.00
loop_
_symmetry_equiv_pos_as_xyz
'x,y,z'
'-x,-y,-z'
'-x,y,-z'
'x,-y,z'
'x+1/2,y+1/2,z'
'-x+1/2,-y+1/2,-z'
'-x+1/2,y+1/2,-z'
'x+1/2,-y+1/2,z'
loop_
_atom_site_label
_atom_site_fract_x
_atom_site_fract_y
_atom_site_fract_z
Li1 0.2273 0.0000 0.3996
Tb1 0.0000 0.5000 0.0000
Tb2 0.1240 0.0000 0.7350
Hg1 0.0610 0.5000 0.3558
Hg2 0.1894 0.0000 0.0958
```